# 1
For Ba2Pr2Co4O11, a cell relaxed with PBE+U gives the calculated XRD peak list in this record (CuKα).
No peak broadening, texture or thermal motion is included.

Most intense lines, 10° ≤ 2θ ≤ 90°, in order of rising 2θ:
2θ = 31.87°, d 2.808, I = 463; 2θ = 32.17°, d 2.783, I = 1000; 2θ = 39.55°, d 2.279, I = 205; 2θ = 45.69°, d 1.986, I = 299; 2θ = 46.57°, d 1.950, I = 128; 2θ = 56.98°, d 1.616, I = 367; 2θ = 57.54°, d 1.602, I = 201; 2θ = 67.30°, d 1.391, I = 153

Structure:
Lattice parameters (Å, degrees): 3.971 7.800 7.943 90.00 90.00 90.00
Element x y z (fractional)
Ba  0.000  0.000  0.248
Ba  0.000  0.000  0.752
Pr  0.000  0.500  0.231
Pr  0.000  0.500  0.769
Co  0.500  0.252  0.000
Co  0.500  0.253  0.500
Co  0.500  0.747  0.500
Co  0.500  0.748  0.000
O  0.000  0.270  0.000
O  0.000  0.308  0.500
O  0.000  0.692  0.500
O  0.000  0.730  0.000
O  0.500  0.000  0.000
O  0.500  0.000  0.500
O  0.500  0.294  0.273
O  0.500  0.294  0.727
O  0.500  0.500  0.000
O  0.500  0.706  0.273
O  0.500  0.706  0.727


# 2
For BaPrTaCoO6, a cell relaxed with PBE+U gives the calculated XRD peak list in this record (CuKα).
No peak broadening, texture or thermal motion is included.

Most intense lines, 10° ≤ 2θ ≤ 90°, in order of rising 2θ:
2θ = 30.68°, d 2.914, I = 236; 2θ = 31.07°, d 2.879, I = 1000; 2θ = 31.20°, d 2.866, I = 245; 2θ = 44.33°, d 2.043, I = 254; 2θ = 44.69°, d 2.028, I = 136; 2θ = 54.79°, d 1.675, I = 165; 2θ = 55.45°, d 1.657, I = 271; 2θ = 64.77°, d 1.439, I = 145

Structure:
Lattice parameters (Å, degrees): 5.733 5.828 9.926 90.00 125.20 90.00
Element x y z (fractional)
Ba  0.000  0.236  0.000
Ba  0.000  0.764  0.500
Pr  0.484  0.300  0.501
Pr  0.484  0.700  0.001
Ta  0.247  0.244  0.749
Ta  0.247  0.756  0.249
Co  0.746  0.245  0.249
Co  0.746  0.755  0.749
O  0.024  0.484  0.776
O  0.024  0.516  0.276
O  0.101  0.032  0.296
O  0.101  0.968  0.796
O  0.447  0.499  0.214
O  0.447  0.501  0.714
O  0.484  0.048  0.703
O  0.484  0.952  0.203
O  0.534  0.280  0.990
O  0.534  0.720  0.490
O  0.910  0.240  0.508
O  0.910  0.760  0.008


# 3
For Ba4CoRe2O12, a cell relaxed with PBE+U gives the calculated XRD peak list in this record (CuKα).
No peak broadening, texture or thermal motion is included.

Most intense lines, 10° ≤ 2θ ≤ 90°, in order of rising 2θ:
2θ = 28.42°, d 3.141, I = 1000; 2θ = 30.93°, d 2.891, I = 927; 2θ = 42.50°, d 2.127, I = 508; 2θ = 53.48°, d 1.713, I = 337; 2θ = 55.01°, d 1.669, I = 186; 2θ = 64.45°, d 1.446, I = 172; 2θ = 67.96°, d 1.379, I = 161; 2θ = 71.90°, d 1.313, I = 149

Structure:
Lattice parameters (Å, degrees): 9.982 9.982 9.982 33.67 33.67 33.67
Element x y z (fractional)
Ba  0.131  0.131  0.131
Ba  0.292  0.292  0.292
Ba  0.708  0.708  0.708
Ba  0.869  0.869  0.869
Co  0.000  0.000  0.000
Re  0.419  0.419  0.419
Re  0.581  0.581  0.581
O  0.141  0.610  0.610
O  0.219  0.219  0.692
O  0.219  0.692  0.219
O  0.308  0.781  0.781
O  0.390  0.390  0.859
O  0.390  0.859  0.390
O  0.610  0.141  0.610
O  0.610  0.610  0.141
O  0.692  0.219  0.219
O  0.781  0.308  0.781
O  0.781  0.781  0.308
O  0.859  0.390  0.390


# 4
For BaCoRhO6, a cell relaxed with PBE+U gives the calculated XRD peak list in this record (CuKα).
No peak broadening, texture or thermal motion is included.

Most intense lines, 10° ≤ 2θ ≤ 90°, in order of rising 2θ:
2θ = 25.43°, d 3.502, I = 1000; 2θ = 31.45°, d 2.845, I = 94; 2θ = 34.97°, d 2.566, I = 277; 2θ = 43.73°, d 2.070, I = 151; 2θ = 47.72°, d 1.906, I = 297; 2θ = 52.46°, d 1.744, I = 108; 2θ = 57.14°, d 1.612, I = 111; 2θ = 57.23°, d 1.610, I = 89

Structure:
Lattice parameters (Å, degrees): 5.127 5.132 5.690 90.01 90.08 119.91
Element x y z (fractional)
Ba  0.000  0.000  0.000
Co  0.333  0.669  0.500
Rh  0.667  0.333  0.500
O  0.011  0.406  0.691
O  0.014  0.607  0.310
O  0.394  0.406  0.310
O  0.394  0.987  0.690
O  0.593  0.607  0.690
O  0.594  0.989  0.308


# 5
For Ba2ScCo2O6, a cell relaxed with PBE+U gives the calculated XRD peak list in this record (CuKα).
No peak broadening, texture or thermal motion is included.

Most intense lines, 10° ≤ 2θ ≤ 90°, in order of rising 2θ:
2θ = 27.88°, d 3.200, I = 330; 2θ = 29.91°, d 2.987, I = 1000; 2θ = 32.48°, d 2.757, I = 431; 2θ = 41.35°, d 2.184, I = 293; 2θ = 53.10°, d 1.725, I = 194; 2θ = 54.75°, d 1.677, I = 203; 2θ = 59.74°, d 1.548, I = 280; 2θ = 62.15°, d 1.494, I = 192

Structure:
Lattice parameters (Å, degrees): 6.433 6.433 6.433 55.34 55.34 55.34
Element x y z (fractional)
Ba  0.225  0.225  0.225
Ba  0.775  0.775  0.775
Sc  0.000  0.000  0.000
Co  0.433  0.433  0.433
Co  0.567  0.567  0.567
O  0.241  0.241  0.759
O  0.241  0.759  0.241
O  0.241  0.759  0.759
O  0.759  0.241  0.241
O  0.759  0.241  0.759
O  0.759  0.759  0.241


# 6
For BaCo2SeO2, a cell relaxed with PBE+U gives the calculated XRD peak list in this record (CuKα).
No peak broadening, texture or thermal motion is included.

Most intense lines, 10° ≤ 2θ ≤ 90°, in order of rising 2θ:
2θ = 23.52°, d 3.783, I = 1000; 2θ = 29.76°, d 3.002, I = 681; 2θ = 34.29°, d 2.615, I = 335; 2θ = 34.85°, d 2.575, I = 422; 2θ = 35.13°, d 2.555, I = 295; 2θ = 41.45°, d 2.178, I = 321; 2θ = 48.10°, d 1.892, I = 305; 2θ = 51.37°, d 1.779, I = 317

Structure:
Lattice parameters (Å, degrees): 6.377 5.129 7.770 90.00 107.56 90.00
Element x y z (fractional)
Ba  0.174  0.250  0.350
Ba  0.826  0.750  0.650
Co  0.365  0.002  0.796
Co  0.365  0.498  0.796
Co  0.635  0.502  0.204
Co  0.635  0.998  0.204
Se  0.279  0.750  0.051
Se  0.721  0.250  0.949
O  0.143  0.250  0.677
O  0.411  0.750  0.629
O  0.589  0.250  0.371
O  0.857  0.750  0.323


# 7
For BaCoSe4O12, a cell relaxed with PBE+U gives the calculated XRD peak list in this record (CuKα).
No peak broadening, texture or thermal motion is included.

Most intense lines, 10° ≤ 2θ ≤ 90°, in order of rising 2θ:
2θ = 19.95°, d 4.450, I = 700; 2θ = 22.88°, d 3.887, I = 259; 2θ = 32.58°, d 2.749, I = 528; 2θ = 33.01°, d 2.714, I = 1000; 2θ = 38.49°, d 2.339, I = 246; 2θ = 46.73°, d 1.944, I = 454; 2θ = 58.40°, d 1.580, I = 402; 2θ = 69.25°, d 1.357, I = 223

Structure:
Lattice parameters (Å, degrees): 5.498 5.498 7.580 90.00 90.00 90.00
Element x y z (fractional)
Ba  0.000  0.000  0.000
Co  0.500  0.500  0.500
Se  0.000  0.500  0.260
Se  0.000  0.500  0.740
Se  0.500  0.000  0.260
Se  0.500  0.000  0.740
O  0.000  0.500  0.000
O  0.000  0.500  0.500
O  0.261  0.261  0.281
O  0.261  0.261  0.719
O  0.261  0.739  0.281
O  0.261  0.739  0.719
O  0.500  0.000  0.000
O  0.500  0.000  0.500
O  0.739  0.261  0.281
O  0.739  0.261  0.719
O  0.739  0.739  0.281
O  0.739  0.739  0.719


# 8
For Ba2CoSi2O7, a cell relaxed with PBE+U gives the calculated XRD peak list in this record (CuKα).
No peak broadening, texture or thermal motion is included.

Most intense lines, 10° ≤ 2θ ≤ 90°, in order of rising 2θ:
2θ = 22.16°, d 4.011, I = 183; 2θ = 23.92°, d 3.720, I = 155; 2θ = 26.90°, d 3.314, I = 366; 2θ = 29.00°, d 3.079, I = 1000; 2θ = 34.08°, d 2.630, I = 223; 2θ = 40.88°, d 2.207, I = 241; 2θ = 47.92°, d 1.898, I = 196; 2θ = 48.05°, d 1.893, I = 145

Structure:
Lattice parameters (Å, degrees): 8.318 8.318 5.485 90.00 90.00 90.00
Element x y z (fractional)
Ba  0.166  0.334  0.491
Ba  0.334  0.834  0.509
Ba  0.666  0.166  0.509
Ba  0.834  0.666  0.491
Co  0.000  0.000  0.000
Co  0.500  0.500  0.000
Si  0.136  0.636  0.959
Si  0.364  0.136  0.041
Si  0.636  0.864  0.041
Si  0.864  0.364  0.959
O  0.000  0.500  0.861
O  0.078  0.804  0.823
O  0.139  0.639  0.254
O  0.196  0.078  0.177
O  0.304  0.578  0.823
O  0.361  0.139  0.746
O  0.422  0.304  0.177
O  0.500  0.000  0.139
O  0.578  0.696  0.177
O  0.639  0.861  0.746
O  0.696  0.422  0.823
O  0.804  0.922  0.177
O  0.861  0.361  0.254
O  0.922  0.196  0.823


What did the sixth record say?
For BaCo2SeO2, a cell relaxed with PBE+U gives the calculated XRD peak list in this record (CuKα).
No peak broadening, texture or thermal motion is included.

Most intense lines, 10° ≤ 2θ ≤ 90°, in order of rising 2θ:
2θ = 23.52°, d 3.783, I = 1000; 2θ = 29.76°, d 3.002, I = 681; 2θ = 34.29°, d 2.615, I = 335; 2θ = 34.85°, d 2.575, I = 422; 2θ = 35.13°, d 2.555, I = 295; 2θ = 41.45°, d 2.178, I = 321; 2θ = 48.10°, d 1.892, I = 305; 2θ = 51.37°, d 1.779, I = 317

Structure:
Lattice parameters (Å, degrees): 6.377 5.129 7.770 90.00 107.56 90.00
Element x y z (fractional)
Ba  0.174  0.250  0.350
Ba  0.826  0.750  0.650
Co  0.365  0.002  0.796
Co  0.365  0.498  0.796
Co  0.635  0.502  0.204
Co  0.635  0.998  0.204
Se  0.279  0.750  0.051
Se  0.721  0.250  0.949
O  0.143  0.250  0.677
O  0.411  0.750  0.629
O  0.589  0.250  0.371
O  0.857  0.750  0.323


Please write out number 7 again, unchanged.
For BaCoSe4O12, a cell relaxed with PBE+U gives the calculated XRD peak list in this record (CuKα).
No peak broadening, texture or thermal motion is included.

Most intense lines, 10° ≤ 2θ ≤ 90°, in order of rising 2θ:
2θ = 19.95°, d 4.450, I = 700; 2θ = 22.88°, d 3.887, I = 259; 2θ = 32.58°, d 2.749, I = 528; 2θ = 33.01°, d 2.714, I = 1000; 2θ = 38.49°, d 2.339, I = 246; 2θ = 46.73°, d 1.944, I = 454; 2θ = 58.40°, d 1.580, I = 402; 2θ = 69.25°, d 1.357, I = 223

Structure:
Lattice parameters (Å, degrees): 5.498 5.498 7.580 90.00 90.00 90.00
Element x y z (fractional)
Ba  0.000  0.000  0.000
Co  0.500  0.500  0.500
Se  0.000  0.500  0.260
Se  0.000  0.500  0.740
Se  0.500  0.000  0.260
Se  0.500  0.000  0.740
O  0.000  0.500  0.000
O  0.000  0.500  0.500
O  0.261  0.261  0.281
O  0.261  0.261  0.719
O  0.261  0.739  0.281
O  0.261  0.739  0.719
O  0.500  0.000  0.000
O  0.500  0.000  0.500
O  0.739  0.261  0.281
O  0.739  0.261  0.719
O  0.739  0.739  0.281
O  0.739  0.739  0.719